Rb2Co2O3: calculated powder diffractogram (Cu Kα (weighted mean of Kα1 and Kα2)), based on a DFT-relaxed cell (GGA+U, Alexandria).
Lines closer than 0.1° are merged.

Most intense lines, 2θ = 5–70°, in order of falling intensity:
d_spacing  intensity  (hkl)
3.102  100.0  3 1 1
3.085  79.2  0 2 0
2.920  57.6  2 1 2
2.822  48.3  4 0 1
3.215  45.6  1 1 2
2.431  39.4  0 1 3
2.083  37.9  3 2 2
1.784  23.6  3 3 1

a b c (Å): 12.0700 6.1701 7.9311
angles (deg): 90.00 90.00 90.00
Positions (direct):
Rb1 0.0590 0.2500 0.1237
Rb2 0.1188 0.7500 0.4952
Rb3 0.3812 0.2500 0.9952
Rb4 0.4410 0.7500 0.6237
Rb5 0.5590 0.2500 0.3763
Rb6 0.6188 0.7500 0.0048
Rb7 0.8812 0.2500 0.5048
Rb8 0.9410 0.7500 0.8763
Co1 0.1504 0.2500 0.7239
Co2 0.2326 0.7500 0.9077
Co3 0.2674 0.2500 0.4077
Co4 0.3496 0.7500 0.2239
Co5 0.6504 0.2500 0.7761
Co6 0.7326 0.7500 0.5923
Co7 0.7674 0.2500 0.0923
Co8 0.8496 0.7500 0.2761
O1 0.1234 0.2500 0.4828
O2 0.1470 0.5090 0.8374
O3 0.1470 0.9910 0.8374
O4 0.3530 0.0090 0.3374
O5 0.3530 0.4910 0.3374
O6 0.3766 0.7500 0.9828
O7 0.6234 0.2500 0.0172
O8 0.6470 0.5090 0.6626
O9 0.6470 0.9910 0.6626
O10 0.8530 0.0090 0.1626
O11 0.8530 0.4910 0.1626
O12 0.8766 0.7500 0.5172